For CaW4O8, a structure optimized by DFT (GGA+U) gives the theoretical powder diffractogram in this record (Cu Kα, 1.54184 Å).
Intensities are scaled so that the largest is 100.

Cell and atoms:
```
data_CaW4O8
_space_group_name_H-M_alt 'P 1'
_space_group_IT_number 1
_cell_length_a 3.3169
_cell_length_b 7.6411
_cell_length_c 7.8412
_cell_angle_alpha 81.19
_cell_angle_beta 77.97
_cell_angle_gamma 78.02
loop_
_space_group_symop_operation_xyz
'x,y,z'
loop_
_atom_site_label
_atom_site_fract_x
_atom_site_fract_y
_atom_site_fract_z
Ca1 0.0000 0.0000 0.0000
W1 0.2803 0.0632 0.3963
W2 0.4785 0.3832 0.6672
W3 0.7774 0.3978 0.0357
W4 0.9990 0.6962 0.3282
O1 0.1077 0.2253 0.5924
O2 0.1699 0.5485 0.1081
O3 0.4213 0.2252 0.9239
O4 0.4708 0.8754 0.2001
O5 0.5082 0.5530 0.4469
O6 0.7676 0.1863 0.2564
O7 0.8173 0.9150 0.5001
O8 0.8547 0.5125 0.7649
```

The 8 most intense peaks (10° ≤ 2θ ≤ 90°), by intensity:
hkl  2θ/deg  d [Å]  intensity
1 1 2  32.50  2.755  100.0
0 1 -1  17.61  5.036  88.5
0 2 2  31.66  2.826  70.0
0 0 1  11.62  7.618  70.0
0 1 0  11.92  7.425  65.8
0 1 -2  27.52  3.241  62.3
1 0 -1  32.35  2.768  54.5
0 1 1  15.68  5.652  50.0